This entry pairs a crystal structure of H2PbBr3 with its theoretical XRD peak list. Radiation: λ = 1.5418 Å (Cu Kα). Structure: a GGA-PBE-relaxed structure.
Intensities are scaled so that the largest is 1000.

Principal peaks in the range 10 to 90 degrees two-theta, most intense first:
2θ/deg  d/Å  I (rel.)
10.8  8.203  1000
31.4  2.849  189
33.3  2.693  166
38.5  2.341  152
25.0  3.557  128
48.4  1.882  95
41.6  2.171  85
38.0  2.368  83
18.7  4.736  72
39.6  2.275  63

Structure:
a = 9.472 Å, b = 9.472 Å, c = 7.142 Å
α = 90.00°, β = 90.00°, γ = 120.00°
Fractional coordinates of all 12 atoms:
H (0.333, 0.667, 0.197)
H (0.333, 0.667, 0.303)
H (0.667, 0.333, 0.697)
H (0.667, 0.333, 0.803)
Pb (0.000, 0.000, 0.000)
Pb (0.000, 0.000, 0.500)
Br (0.139, 0.279, 0.250)
Br (0.139, 0.861, 0.250)
Br (0.279, 0.139, 0.750)
Br (0.721, 0.861, 0.250)
Br (0.861, 0.139, 0.750)
Br (0.861, 0.721, 0.750)

***

This entry pairs a crystal structure of Pm2H2Br5 with its theoretical XRD peak list. Radiation: λ = 1.5418 Å (Cu Kα). Structure: a GGA-PBE-relaxed structure.
Intensities are scaled so that the largest is 1000.

Principal peaks in the range 10 to 90 degrees two-theta, most intense first:
2θ/deg  d/Å  I (rel.)
10.9  8.092  1000
17.4  5.098  641
30.7  2.912  601
35.5  2.529  427
23.9  3.725  291
47.4  1.918  268
28.9  3.092  174
35.2  2.549  158
20.6  4.314  137
32.9  2.720  123

Structure:
a = 9.564 Å, b = 9.115 Å, c = 6.603 Å
α = 72.99°, β = 65.69°, γ = 41.31°
Fractional coordinates of all 9 atoms:
Pm (0.218, 0.782, 0.218)
Pm (0.782, 0.218, 0.782)
H (0.250, 0.250, 0.750)
H (0.750, 0.750, 0.250)
Br (0.122, 0.122, 0.378)
Br (0.378, 0.378, 0.122)
Br (0.500, 0.500, 0.500)
Br (0.622, 0.622, 0.878)
Br (0.878, 0.878, 0.622)

***

This entry pairs a crystal structure of PmH4Br4 with its theoretical XRD peak list. Radiation: λ = 1.5418 Å (Cu Kα). Structure: a GGA-PBE-relaxed structure.
Intensities are scaled so that the largest is 1000.

Principal peaks in the range 10 to 90 degrees two-theta, most intense first:
2θ/deg  d/Å  I (rel.)
30.5  2.935  1000
12.5  7.098  634
39.9  2.262  417
28.1  3.174  351
35.8  2.510  211
61.0  1.519  148
40.2  2.245  146
53.2  1.722  130
17.7  5.019  128
43.9  2.062  113

Structure:
a = 7.358 Å, b = 7.358 Å, c = 7.358 Å
α = 93.98°, β = 93.98°, γ = 149.44°
Fractional coordinates of all 9 atoms:
Pm (0.000, 0.000, 0.000)
H (0.052, 0.767, 0.819)
H (0.233, 0.052, 0.285)
H (0.767, 0.948, 0.715)
H (0.948, 0.233, 0.181)
Br (0.261, 0.447, 0.708)
Br (0.447, 0.739, 0.186)
Br (0.553, 0.261, 0.814)
Br (0.739, 0.553, 0.292)

***

Number 3 is which compound? PmH4Br4

***

Copy entry 2 word for word.
This entry pairs a crystal structure of Pm2H2Br5 with its theoretical XRD peak list. Radiation: λ = 1.5418 Å (Cu Kα). Structure: a GGA-PBE-relaxed structure.
Intensities are scaled so that the largest is 1000.

Principal peaks in the range 10 to 90 degrees two-theta, most intense first:
2θ/deg  d/Å  I (rel.)
10.9  8.092  1000
17.4  5.098  641
30.7  2.912  601
35.5  2.529  427
23.9  3.725  291
47.4  1.918  268
28.9  3.092  174
35.2  2.549  158
20.6  4.314  137
32.9  2.720  123

Structure:
a = 9.564 Å, b = 9.115 Å, c = 6.603 Å
α = 72.99°, β = 65.69°, γ = 41.31°
Fractional coordinates of all 9 atoms:
Pm (0.218, 0.782, 0.218)
Pm (0.782, 0.218, 0.782)
H (0.250, 0.250, 0.750)
H (0.750, 0.750, 0.250)
Br (0.122, 0.122, 0.378)
Br (0.378, 0.378, 0.122)
Br (0.500, 0.500, 0.500)
Br (0.622, 0.622, 0.878)
Br (0.878, 0.878, 0.622)

***

Please write out number 1 again, unchanged.
This entry pairs a crystal structure of H2PbBr3 with its theoretical XRD peak list. Radiation: λ = 1.5418 Å (Cu Kα). Structure: a GGA-PBE-relaxed structure.
Intensities are scaled so that the largest is 1000.

Principal peaks in the range 10 to 90 degrees two-theta, most intense first:
2θ/deg  d/Å  I (rel.)
10.8  8.203  1000
31.4  2.849  189
33.3  2.693  166
38.5  2.341  152
25.0  3.557  128
48.4  1.882  95
41.6  2.171  85
38.0  2.368  83
18.7  4.736  72
39.6  2.275  63

Structure:
a = 9.472 Å, b = 9.472 Å, c = 7.142 Å
α = 90.00°, β = 90.00°, γ = 120.00°
Fractional coordinates of all 12 atoms:
H (0.333, 0.667, 0.197)
H (0.333, 0.667, 0.303)
H (0.667, 0.333, 0.697)
H (0.667, 0.333, 0.803)
Pb (0.000, 0.000, 0.000)
Pb (0.000, 0.000, 0.500)
Br (0.139, 0.279, 0.250)
Br (0.139, 0.861, 0.250)
Br (0.279, 0.139, 0.750)
Br (0.721, 0.861, 0.250)
Br (0.861, 0.139, 0.750)
Br (0.861, 0.721, 0.750)

***

Copy entry 2 word for word.
This entry pairs a crystal structure of Pm2H2Br5 with its theoretical XRD peak list. Radiation: λ = 1.5418 Å (Cu Kα). Structure: a GGA-PBE-relaxed structure.
Intensities are scaled so that the largest is 1000.

Principal peaks in the range 10 to 90 degrees two-theta, most intense first:
2θ/deg  d/Å  I (rel.)
10.9  8.092  1000
17.4  5.098  641
30.7  2.912  601
35.5  2.529  427
23.9  3.725  291
47.4  1.918  268
28.9  3.092  174
35.2  2.549  158
20.6  4.314  137
32.9  2.720  123

Structure:
a = 9.564 Å, b = 9.115 Å, c = 6.603 Å
α = 72.99°, β = 65.69°, γ = 41.31°
Fractional coordinates of all 9 atoms:
Pm (0.218, 0.782, 0.218)
Pm (0.782, 0.218, 0.782)
H (0.250, 0.250, 0.750)
H (0.750, 0.750, 0.250)
Br (0.122, 0.122, 0.378)
Br (0.378, 0.378, 0.122)
Br (0.500, 0.500, 0.500)
Br (0.622, 0.622, 0.878)
Br (0.878, 0.878, 0.622)